This entry pairs a crystal structure of SmRe4Si2 with its computed powder X-ray diffraction pattern. Radiation: copper Kα. Structure: DFT lattice parameters and positions (PBE).
Lines closer than 0.1° are merged.

Most intense lines, 2θ from 15° to 90°, by angle:
2θ (°)  I/Imax  h k l
16.82  36  1 1 0
27.34  56  1 1 1
34.50  100  2 1 1
38.17  66  3 1 0
40.53  99  2 2 1
43.59  44  0 0 2
44.17  55  3 1 1
50.47  22  4 1 0
59.30  37  3 1 2
66.64  33  5 0 1

Cell and atoms:
```
data_SmRe4Si2
_chemical_formula_sum 'Sm2 Re8 Si4'
_symmetry_space_group_name_H-M 'P 42/m n m'
_symmetry_Int_Tables_number 136
_symmetry_space_group_name_Hall '-P 4n 2n'
_cell_length_a 7.456
_cell_length_b 7.456
_cell_length_c 4.153
_cell_angle_alpha 90.00
_cell_angle_beta 90.00
_cell_angle_gamma 90.00
loop_
_atom_site_label
_atom_site_type_symbol
_atom_site_fract_x
_atom_site_fract_y
_atom_site_fract_z
_atom_site_occupancy
Sm1 Sm 0.000 0.000 0.000 1
Re1 Re 0.093 0.343 0.500 1
Si1 Si 0.209 0.791 0.500 1
```

This entry pairs a crystal structure of TiReSi with its computed powder X-ray diffraction pattern. Radiation: copper Kα. Structure: DFT lattice parameters and positions (PBE).
Lines closer than 0.1° are merged.

Most intense lines, 2θ from 15° to 90°, by angle:
2θ (°)  I/Imax  h k l
15.00  28  1 0 0
26.13  63  1 1 0
27.44  29  0 0 1
38.26  100  1 1 1
40.41  60  2 1 0
41.31  31  2 0 1
46.11  21  3 0 0
49.54  42  2 1 1
71.86  22  2 1 2
76.11  27  3 2 1

Cell and atoms:
```
data_TiReSi
_chemical_formula_sum 'Ti3 Re3 Si3'
_symmetry_space_group_name_H-M 'P -6 2 m'
_symmetry_Int_Tables_number 189
_symmetry_space_group_name_Hall 'P -6 -2'
_cell_length_a 6.8197
_cell_length_b 6.8197
_cell_length_c 3.2502
_cell_angle_alpha 90.00
_cell_angle_beta 90.00
_cell_angle_gamma 120.00
loop_
_atom_site_label
_atom_site_type_symbol
_atom_site_fract_x
_atom_site_fract_y
_atom_site_fract_z
_atom_site_occupancy
Ti1 Ti 0.0000 0.5959 0.0000 1
Re1 Re 0.0000 0.2630 0.5000 1
Si1 Si 0.0000 0.0000 0.0000 1
Si2 Si 0.3333 0.6667 0.5000 1
```

This entry pairs a crystal structure of Tm2Re3Si5 with its computed powder X-ray diffraction pattern. Radiation: copper Kα. Structure: DFT lattice parameters and positions (PBE).
Lines closer than 0.1° are merged.

Most intense lines, 2θ from 15° to 90°, by angle:
2θ (°)  I/Imax  h k l
25.69  94  3 1 0
30.48  86  3 1 1
34.64  41  1 1 2
36.63  81  4 2 0
37.57  100  4 1 1
40.24  70  2 2 2
44.48  42  4 3 1
46.83  43  4 4 0
48.35  36  3 3 2
61.53  51  7 0 1

Cell and atoms:
```
data_Tm2Re3Si5
_chemical_formula_sum 'Tm8 Re12 Si20'
_symmetry_space_group_name_H-M 'P 4/m n c'
_symmetry_Int_Tables_number 128
_symmetry_space_group_name_Hall '-P 4 2n'
_cell_length_a 10.966
_cell_length_b 10.966
_cell_length_c 5.495
_cell_angle_alpha 90.00
_cell_angle_beta 90.00
_cell_angle_gamma 90.00
loop_
_atom_site_label
_atom_site_type_symbol
_atom_site_fract_x
_atom_site_fract_y
_atom_site_fract_z
_atom_site_occupancy
Tm1 Tm 0.077 0.238 0.000 1
Re1 Re 0.000 0.500 0.250 1
Re2 Re 0.124 0.854 0.500 1
Si1 Si 0.000 0.000 0.240 1
Si2 Si 0.028 0.314 0.500 1
Si3 Si 0.173 0.673 0.250 1
```

This entry pairs a crystal structure of U2Re3Si5 with its computed powder X-ray diffraction pattern. Radiation: copper Kα. Structure: DFT lattice parameters and positions (PBE).
Lines closer than 0.1° are merged.

Most intense lines, 2θ from 15° to 90°, by angle:
2θ (°)  I/Imax  h k l
25.69  72  3 1 0
29.37  33  3 0 1
30.51  85  3 1 1
34.72  32  1 1 2
36.65  60  4 2 0
37.59  100  4 1 1
40.30  65  2 2 2
44.50  32  4 3 1
61.58  50  7 0 1
87.09  30  8 4 2

Cell and atoms:
```
data_U2Re3Si5
_chemical_formula_sum 'U8 Re12 Si20'
_symmetry_space_group_name_H-M 'P 4/m n c'
_symmetry_Int_Tables_number 128
_symmetry_space_group_name_Hall '-P 4 2n'
_cell_length_a 10.965
_cell_length_b 10.965
_cell_length_c 5.481
_cell_angle_alpha 90.00
_cell_angle_beta 90.00
_cell_angle_gamma 90.00
loop_
_atom_site_label
_atom_site_type_symbol
_atom_site_fract_x
_atom_site_fract_y
_atom_site_fract_z
_atom_site_occupancy
U1 U 0.071 0.236 0.000 1
Re1 Re 0.000 0.500 0.250 1
Re2 Re 0.126 0.860 0.500 1
Si1 Si 0.000 0.000 0.232 1
Si2 Si 0.023 0.315 0.500 1
Si3 Si 0.176 0.676 0.250 1
```

This entry pairs a crystal structure of ReSi4W with its computed powder X-ray diffraction pattern. Radiation: copper Kα. Structure: DFT lattice parameters and positions (PBE).
Lines closer than 0.1° are merged.

Most intense lines, 2θ from 15° to 90°, by angle:
2θ (°)  I/Imax  h k l
22.65  49  0 0 2
30.05  100  1 0 1
39.67  58  1 1 0
44.65  83  1 0 3
46.18  40  0 0 4
57.36  20  2 0 0
62.50  26  1 1 4
66.11  22  2 1 1
75.48  36  2 1 3
85.65  13  1 1 6

Cell and atoms:
```
data_ReSi4W
_chemical_formula_sum 'Re1 Si4 W1'
_symmetry_space_group_name_H-M 'P 4/m m m'
_symmetry_Int_Tables_number 123
_symmetry_space_group_name_Hall '-P 4 2'
_cell_length_a 3.213
_cell_length_b 3.213
_cell_length_c 7.853
_cell_angle_alpha 90.00
_cell_angle_beta 90.00
_cell_angle_gamma 90.00
loop_
_atom_site_label
_atom_site_type_symbol
_atom_site_fract_x
_atom_site_fract_y
_atom_site_fract_z
_atom_site_occupancy
Re1 Re 0.000 0.000 0.000 1
Si1 Si 0.000 0.000 0.333 1
Si2 Si 0.500 0.500 0.167 1
W1 W 0.500 0.500 0.500 1
```